Record 1
Computed powder XRD pattern
Compound: Ba6MgNb2IrCl2O12
Radiation: Cu Kα X-rays
Structure: the GGA-PBE geometry in the Materials Project

Structural model:
```
data_Ba6MgNb2IrCl2O12
_space_group_name_H-M_alt 'P -1'
_space_group_IT_number 2
_space_group_name_Hall '-P 1'
_cell_length_a 5.962
_cell_length_b 6.260
_cell_length_c 15.307
_cell_angle_alpha 96.97
_cell_angle_beta 90.30
_cell_angle_gamma 118.27
loop_
_atom_site_label
_atom_site_type_symbol
_atom_site_fract_x
_atom_site_fract_y
_atom_site_fract_z
Ba1 Ba 0.085 0.183 0.222
Ba2 Ba 0.228 0.447 0.639
Ba3 Ba 0.250 0.488 0.895
Mg1 Mg 0.000 0.000 0.000
Nb1 Nb 0.406 0.825 0.180
Ir1 Ir 0.500 0.000 0.000
Cl1 Cl 0.174 0.343 0.427
O1 O 0.122 0.734 0.252
O2 O 0.205 0.934 0.086
O3 O 0.252 0.501 0.101
O4 O 0.280 0.062 0.919
O5 O 0.379 0.256 0.751
O6 O 0.406 0.812 0.772
```

Principal peaks in the range 10 to 80 degrees two-theta, sorted by position:
Position (°2θ), I_rel, (hkl)
17.55, 32, 1 0 -1
21.28, 18, 1 0 2
23.57, 16, 1 0 -3
23.71, 15, 1 -1 3
26.69, 20, 0 1 -4
28.63, 38, 1 1 -1
30.01, 100, 2 -1 0
30.56, 34, 0 1 4
31.69, 22, 0 1 -5
32.47, 16, 0 2 -1

Record 2
Computed powder XRD pattern
Compound: K2P2H2O7
Radiation: Cu Kα X-rays
Structure: the GGA-PBE geometry in the Materials Project

Structural model:
```
data_K2P2H2O7
_space_group_name_H-M_alt 'P -1'
_space_group_IT_number 2
_space_group_name_Hall '-P 1'
_cell_length_a 8.246
_cell_length_b 8.316
_cell_length_c 11.285
_cell_angle_alpha 82.78
_cell_angle_beta 84.65
_cell_angle_gamma 88.90
loop_
_atom_site_label
_atom_site_type_symbol
_atom_site_fract_x
_atom_site_fract_y
_atom_site_fract_z
K1 K 0.109 0.201 0.071
K2 K 0.213 0.381 0.425
K3 K 0.254 0.794 0.552
K4 K 0.320 0.722 0.049
P1 P 0.018 0.787 0.283
P2 P 0.128 0.504 0.796
P3 P 0.286 0.045 0.786
P4 P 0.442 0.361 0.698
H1 H 0.225 0.022 0.327
H2 H 0.397 0.056 0.362
H3 H 0.438 0.381 0.157
H4 H 0.472 0.200 0.176
O1 O 0.025 0.332 0.815
O2 O 0.027 0.638 0.737
O3 O 0.049 0.691 0.400
O4 O 0.144 0.903 0.219
O5 O 0.154 0.114 0.693
O6 O 0.189 0.517 0.915
O7 O 0.204 0.987 0.907
O8 O 0.274 0.470 0.693
O9 O 0.281 0.067 0.389
O10 O 0.387 0.208 0.799
O11 O 0.397 0.930 0.722
O12 O 0.419 0.282 0.121
O13 O 0.433 0.549 0.247
O14 O 0.479 0.311 0.576
```

Principal peaks in the range 10 to 80 degrees two-theta, sorted by position:
Position (°2θ), I_rel, (hkl)
12.53, 86, 0 1 1
12.79, 80, 1 0 1
15.90, 52, 0 0 2
25.01, 54, 0 1 3
25.79, 72, -2 1 1
26.53, 76, 1 2 -1
27.10, 98, 2 1 2
28.15, 100, 2 0 -2
28.81, 56, 2 -1 2
30.05, 54, 1 -2 2

Record 3
Computed powder XRD pattern
Compound: MgAg2Br2O4
Radiation: Cu Kα X-rays
Structure: the GGA-PBE geometry in the Materials Project

Structural model:
```
data_MgAg2Br2O4
_space_group_name_H-M_alt 'P 1'
_space_group_IT_number 1
_space_group_name_Hall 'P 1'
_cell_length_a 3.690
_cell_length_b 4.031
_cell_length_c 12.420
_cell_angle_alpha 80.70
_cell_angle_beta 89.94
_cell_angle_gamma 89.74
loop_
_atom_site_label
_atom_site_type_symbol
_atom_site_fract_x
_atom_site_fract_y
_atom_site_fract_z
Mg1 Mg 0.000 0.000 0.000
Ag1 Ag 0.250 0.474 0.551
Ag2 Ag 0.750 0.974 0.551
Br1 Br 0.501 0.810 0.376
Br2 Br 0.999 0.137 0.727
O1 O 0.000 0.592 0.136
O2 O 0.500 0.341 0.970
O3 O 0.500 0.689 0.970
O4 O 0.999 0.273 0.136
```

Principal peaks in the range 10 to 80 degrees two-theta, sorted by position:
Position (°2θ), I_rel, (hkl)
14.45, 92, 0 0 2
24.63, 42, 0 1 -1
28.23, 34, 1 0 2
33.19, 100, 1 -1 0
34.66, 47, 1 1 2
36.66, 43, 0 0 5
37.73, 52, 1 1 3
41.98, 58, 1 1 -3
47.49, 25, 0 2 3
50.49, 33, 0 2 -2

Record 4
Computed powder XRD pattern
Compound: YMgCu3Se4
Radiation: Cu Kα X-rays
Structure: the GGA-PBE geometry in the Materials Project

Structural model:
```
data_YMgCu3Se4
_space_group_name_H-M_alt 'P -4 3 m'
_space_group_IT_number 215
_space_group_name_Hall 'P -4 2 3'
_cell_length_a 5.964
_cell_length_b 5.964
_cell_length_c 5.964
_cell_angle_alpha 90.00
_cell_angle_beta 90.00
_cell_angle_gamma 90.00
loop_
_atom_site_label
_atom_site_type_symbol
_atom_site_fract_x
_atom_site_fract_y
_atom_site_fract_z
Y1 Y 0.000 0.000 0.000
Mg1 Mg 0.500 0.500 0.500
Cu1 Cu 0.000 0.000 0.500
Se1 Se 0.255 0.255 0.255
```

Principal peaks in the range 10 to 80 degrees two-theta, sorted by position:
Position (°2θ), I_rel, (hkl)
14.85, 28, 1 0 0
25.88, 79, 1 1 1
33.60, 20, 2 1 0
42.89, 100, 2 2 0
45.64, 9, 3 0 0
50.77, 35, 3 1 1
62.27, 16, 4 0 0
64.41, 6, 3 2 2
68.59, 14, 3 3 1
78.59, 31, 4 2 2